Diffraction record for Fe4O7F. The X-ray diffraction stick pattern is simulated, not measured: it uses a structure optimized by DFT (PBE+U) and CuKα.
Neutral-atom scattering factors, no anomalous dispersion.

a = 9.210 Å, b = 12.008 Å, c = 4.604 Å
α = 90.00°, β = 91.92°, γ = 90.00°
Space group Cm (No. 8)
One atom of each set of equivalent atoms:
Fe 0.000 0.000 0.000 x2
Fe 0.007 0.244 0.987 x4
Fe 0.020 0.500 0.963 x2
Fe 0.244 0.123 0.509 x4
Fe 0.257 0.374 0.492 x4
O 0.096 0.119 0.808 x4
O 0.102 0.368 0.798 x4
O 0.153 0.000 0.301 x2
O 0.158 0.248 0.299 x4
O 0.159 0.500 0.301 x2
O 0.349 0.500 0.697 x2
O 0.351 0.247 0.685 x4
O 0.352 0.000 0.682 x2
O 0.408 0.375 0.185 x4
F 0.407 0.124 0.186 x4

Main lines, in order of rising 2θ (2θ = 5–70°):
- 26.9 deg, I 95
- 27.9 deg, I 93
- 35.7 deg, I 100
- 39.1 deg, I 19
- 53.5 deg, I 56
- 54.6 deg, I 53
- 55.5 deg, I 15
- 57.6 deg, I 15
- 61.8 deg, I 15
- 68.7 deg, I 48

Diffraction record for Fe5O3F7. The X-ray diffraction stick pattern is simulated, not measured: it uses a structure optimized by DFT (PBE+U) and CuKα.
Neutral-atom scattering factors, no anomalous dispersion.

a = 15.680 Å, b = 4.811 Å, c = 4.797 Å
α = 90.00°, β = 90.00°, γ = 90.00°
Space group Pmn2_1 (No. 31)
One atom of each set of equivalent atoms:
Fe 0.000 0.219 0.000 x2
Fe 0.095 0.752 0.478 x4
Fe 0.209 0.290 0.948 x4
O 0.000 0.928 0.287 x2
O 0.199 0.560 0.654 x4
F 0.000 0.525 0.689 x2
F 0.107 0.447 0.165 x4
F 0.109 0.057 0.777 x4
F 0.201 0.956 0.257 x4

Main lines, in order of rising 2θ (2θ = 5–70°):
- 26.2 deg, I 100
- 34.1 deg, I 53
- 39.1 deg, I 20
- 42.1 deg, I 5
- 43.7 deg, I 6
- 51.6 deg, I 58
- 54.0 deg, I 18
- 58.9 deg, I 9
- 65.4 deg, I 9
- 65.6 deg, I 21

Diffraction record for Fe5O2F8. The X-ray diffraction stick pattern is simulated, not measured: it uses a structure optimized by DFT (PBE+U) and CuKα.
Neutral-atom scattering factors, no anomalous dispersion.

a = 7.988 Å, b = 4.819 Å, c = 10.084 Å
α = 90.00°, β = 108.05°, γ = 90.00°
Space group P2_1 (No. 4)
One atom of each set of equivalent atoms:
Fe 0.041 0.000 0.162 x2
Fe 0.157 0.438 0.447 x2
Fe 0.248 0.941 0.756 x2
Fe 0.337 0.479 0.040 x2
Fe 0.434 0.970 0.348 x2
O 0.181 0.671 0.859 x2
O 0.201 0.153 0.318 x2
F 0.027 0.168 0.730 x2
F 0.094 0.257 0.015 x2
F 0.106 0.771 0.570 x2
F 0.268 0.762 0.161 x2
F 0.319 0.252 0.641 x2
F 0.392 0.650 0.475 x2
F 0.402 0.162 0.924 x2
F 0.484 0.778 0.777 x2

Main lines, in order of rising 2θ (2θ = 5–70°):
- 26.3 deg, I 100
- 33.6 deg, I 42
- 33.7 deg, I 13
- 38.6 deg, I 10
- 51.1 deg, I 31
- 51.3 deg, I 16
- 51.4 deg, I 15
- 54.1 deg, I 18
- 64.3 deg, I 12
- 64.9 deg, I 11

Diffraction record for Fe5O8F2. The X-ray diffraction stick pattern is simulated, not measured: it uses a structure optimized by DFT (PBE+U) and CuKα.
Neutral-atom scattering factors, no anomalous dispersion.

a = 4.639 Å, b = 7.609 Å, c = 9.746 Å
α = 70.64°, β = 88.49°, γ = 89.28°
Space group P1 (No. 1)
One atom of each set of equivalent atoms:
Fe 0.000 0.000 0.000 x1
Fe 0.001 0.803 0.579 x1
Fe 0.005 0.420 0.794 x1
Fe 0.048 0.212 0.399 x1
Fe 0.497 0.307 0.080 x1
Fe 0.507 0.904 0.289 x1
Fe 0.514 0.707 0.896 x1
Fe 0.529 0.502 0.500 x1
Fe 0.556 0.112 0.690 x1
Fe 0.988 0.596 0.184 x1
O 0.198 0.764 0.017 x1
O 0.207 0.573 0.611 x1
O 0.209 0.364 0.215 x1
O 0.210 0.967 0.410 x1
O 0.309 0.472 0.906 x1
O 0.321 0.066 0.114 x1
O 0.346 0.268 0.522 x1
O 0.694 0.745 0.462 x1
O 0.698 0.534 0.066 x1
O 0.709 0.948 0.869 x1
O 0.728 0.348 0.677 x1
O 0.804 0.834 0.174 x1
O 0.813 0.662 0.760 x1
O 0.823 0.244 0.970 x1
O 0.826 0.442 0.371 x1
O 0.836 0.043 0.565 x1
F 0.217 0.164 0.813 x1
F 0.307 0.659 0.313 x1
F 0.317 0.876 0.710 x1
F 0.714 0.146 0.270 x1

Main lines, in order of rising 2θ (2θ = 5–70°):
- 26.9 deg, I 100
- 27.6 deg, I 99
- 35.4 deg, I 54
- 35.5 deg, I 53
- 38.9 deg, I 19
- 53.1 deg, I 29
- 53.3 deg, I 29
- 54.1 deg, I 43
- 61.4 deg, I 17
- 68.3 deg, I 34

Diffraction record for Fe4OF7. The X-ray diffraction stick pattern is simulated, not measured: it uses a structure optimized by DFT (PBE+U) and CuKα.
Neutral-atom scattering factors, no anomalous dispersion.

a = 9.393 Å, b = 6.842 Å, c = 9.375 Å
α = 90.00°, β = 94.95°, γ = 90.00°
Space group C2/c (No. 15)
One atom of each set of equivalent atoms:
Fe 0.000 0.230 0.250 x4
Fe 0.115 0.242 0.865 x8
Fe 0.250 0.250 0.500 x4
O 0.000 0.055 0.750 x4
F 0.000 0.466 0.750 x4
F 0.024 0.260 0.481 x8
F 0.231 0.249 0.274 x8
F 0.250 0.059 0.002 x8

Main lines, in order of rising 2θ (2θ = 5–70°):
- 25.8 deg, I 89
- 26.0 deg, I 92
- 33.7 deg, I 100
- 38.5 deg, I 21
- 38.7 deg, I 17
- 50.7 deg, I 58
- 51.1 deg, I 57
- 53.0 deg, I 21
- 53.6 deg, I 17
- 64.6 deg, I 45

Diffraction record for Fe6O7F5. The X-ray diffraction stick pattern is simulated, not measured: it uses a structure optimized by DFT (PBE+U) and CuKα.
Neutral-atom scattering factors, no anomalous dispersion.

a = 4.753 Å, b = 9.182 Å, c = 4.754 Å
α = 90.00°, β = 93.83°, γ = 90.00°
Space group Pm (No. 6)
One atom of each set of equivalent atoms:
Fe 0.000 0.000 0.000 x1
Fe 0.040 0.327 0.021 x2
Fe 0.538 0.500 0.517 x1
Fe 0.582 0.175 0.489 x2
O 0.352 0.341 0.318 x2
O 0.730 0.000 0.681 x1
O 0.740 0.344 0.707 x2
O 0.853 0.169 0.192 x2
F 0.232 0.500 0.827 x1
F 0.236 0.165 0.810 x2
F 0.342 0.000 0.296 x1
F 0.856 0.500 0.208 x1

Main lines, in order of rising 2θ (2θ = 5–70°):
- 25.7 deg, I 100
- 27.5 deg, I 93
- 34.9 deg, I 97
- 37.9 deg, I 17
- 39.2 deg, I 19
- 51.5 deg, I 60
- 52.7 deg, I 16
- 53.5 deg, I 52
- 60.5 deg, I 24
- 66.6 deg, I 39

Diffraction record for Fe5O3F7. The X-ray diffraction stick pattern is simulated, not measured: it uses a structure optimized by DFT (PBE+U) and CuKα.
Neutral-atom scattering factors, no anomalous dispersion.

a = 6.726 Å, b = 6.911 Å, c = 15.709 Å
α = 90.00°, β = 90.03°, γ = 90.00°
Space group C2 (No. 5)
One atom of each set of equivalent atoms:
Fe 0.000 0.000 0.000 x2
Fe 0.000 0.474 0.500 x2
Fe 0.007 0.015 0.395 x4
Fe 0.020 0.488 0.693 x4
Fe 0.021 0.500 0.899 x4
Fe 0.024 0.996 0.199 x4
O 0.002 0.316 0.400 x4
O 0.177 0.998 0.097 x4
O 0.197 0.000 0.293 x4
F 0.000 0.296 0.000 x2
F 0.000 0.703 0.000 x2
F 0.003 0.692 0.598 x4
F 0.004 0.298 0.797 x4
F 0.004 0.697 0.795 x4
F 0.198 0.004 0.502 x4
F 0.202 0.999 0.899 x4
F 0.208 0.000 0.711 x4

Main lines, in order of rising 2θ (2θ = 5–70°):
- 25.8 deg, I 98
- 26.5 deg, I 92
- 34.1 deg, I 100
- 38.7 deg, I 17
- 39.2 deg, I 17
- 51.0 deg, I 61
- 51.8 deg, I 53
- 53.0 deg, I 18
- 58.8 deg, I 17
- 65.2 deg, I 52

Diffraction record for Fe6O7F5. The X-ray diffraction stick pattern is simulated, not measured: it uses a structure optimized by DFT (PBE+U) and CuKα.
Neutral-atom scattering factors, no anomalous dispersion.

a = 9.100 Å, b = 6.391 Å, c = 7.062 Å
α = 90.00°, β = 90.00°, γ = 90.00°
Space group Amm2 (No. 38)
One atom of each set of equivalent atoms:
Fe 0.000 0.000 0.000 x2
Fe 0.159 0.000 0.458 x4
Fe 0.332 0.000 0.965 x4
Fe 0.500 0.000 0.470 x2
O 0.000 0.000 0.280 x2
O 0.172 0.196 0.971 x8
O 0.500 0.196 0.965 x4
F 0.000 0.000 0.661 x2
F 0.334 0.000 0.657 x4
F 0.336 0.000 0.276 x4

Main lines, in order of rising 2θ (2θ = 5–70°):
- 25.2 deg, I 100
- 27.9 deg, I 88
- 35.1 deg, I 94
- 38.0 deg, I 17
- 39.2 deg, I 15
- 51.2 deg, I 64
- 51.8 deg, I 17
- 54.2 deg, I 48
- 61.1 deg, I 15
- 66.8 deg, I 40

Diffraction record for Fe4OF6. The X-ray diffraction stick pattern is simulated, not measured: it uses a structure optimized by DFT (PBE+U) and CuKα.
Neutral-atom scattering factors, no anomalous dispersion.

a = 5.180 Å, b = 7.110 Å, c = 7.210 Å
α = 89.17°, β = 89.95°, γ = 89.23°
Space group P1 (No. 1)
One atom of each set of equivalent atoms:
Fe 0.000 0.000 0.000 x1
Fe 0.014 0.509 0.010 x1
Fe 0.094 0.480 0.492 x1
Fe 0.111 0.992 0.482 x1
Fe 0.500 0.242 0.238 x1
Fe 0.524 0.240 0.725 x1
Fe 0.587 0.744 0.772 x1
Fe 0.611 0.747 0.258 x1
O 0.302 0.241 0.497 x1
O 0.805 0.745 0.001 x1
F 0.188 0.255 0.050 x1
F 0.302 0.522 0.792 x1
F 0.305 0.946 0.209 x1
F 0.308 0.552 0.224 x1
F 0.317 0.975 0.816 x1
F 0.419 0.771 0.520 x1
F 0.698 0.224 0.977 x1
F 0.797 0.467 0.698 x1
F 0.800 0.436 0.279 x1
F 0.801 0.042 0.282 x1
F 0.817 0.016 0.694 x1
F 0.929 0.737 0.444 x1

Main lines, in order of rising 2θ (2θ = 5–70°):
- 30.2 deg, I 100
- 30.3 deg, I 52
- 30.7 deg, I 46
- 41.4 deg, I 11
- 49.9 deg, I 16
- 50.4 deg, I 16
- 50.5 deg, I 15
- 50.6 deg, I 18
- 50.9 deg, I 16
- 51.4 deg, I 21

Diffraction record for Fe2O3F. The X-ray diffraction stick pattern is simulated, not measured: it uses a structure optimized by DFT (PBE+U) and CuKα.
Neutral-atom scattering factors, no anomalous dispersion.

a = 8.743 Å, b = 6.853 Å, c = 7.081 Å
α = 90.00°, β = 112.05°, γ = 90.00°
Space group C2 (No. 5)
One atom of each set of equivalent atoms:
Fe 0.000 0.000 0.000 x2
Fe 0.000 0.019 0.500 x2
Fe 0.166 0.486 0.666 x4
Fe 0.167 0.458 0.168 x4
O 0.000 0.311 0.500 x2
O 0.064 0.474 0.873 x4
O 0.103 0.991 0.795 x4
O 0.173 0.167 0.174 x4
O 0.230 0.989 0.540 x4
F 0.000 0.689 0.500 x2
F 0.162 0.786 0.163 x4

Main lines, in order of rising 2θ (2θ = 5–70°):
- 26.0 deg, I 100
- 27.8 deg, I 97
- 35.7 deg, I 98
- 38.5 deg, I 19
- 40.1 deg, I 16
- 52.4 deg, I 57
- 54.4 deg, I 27
- 54.6 deg, I 27
- 67.7 deg, I 19
- 67.8 deg, I 19